1.
Diffraction record for Tb8Pr3Ho2. The powder XRD pattern is simulated, not measured: it uses DFT lattice parameters and positions (PBE) and Cu Kα X-rays.
Lines closer than 0.1° are merged.

Structure:
a b c (Å): 9.1214 9.1214 11.3549
angles (deg): 90.24 90.24 112.97
Sites, in units of the cell vectors:
Tb (0.0573, 0.5785, 0.2470)
Tb (0.1669, 0.1880, 0.2493)
Tb (0.1880, 0.1669, 0.7493)
Tb (0.1971, 0.7916, 0.9648)
Tb (0.1981, 0.4299, 0.5032)
Tb (0.2084, 0.8029, 0.5352)
Tb (0.4215, 0.9427, 0.2530)
Tb (0.4299, 0.1981, 0.0032)
Tb (0.5701, 0.8019, 0.9968)
Tb (0.5785, 0.0573, 0.7470)
Tb (0.7916, 0.1971, 0.4648)
Tb (0.8019, 0.5701, 0.4968)
Tb (0.8029, 0.2084, 0.0352)
Tb (0.8120, 0.8331, 0.2507)
Tb (0.8331, 0.8120, 0.7507)
Tb (0.9427, 0.4215, 0.7530)
Pr (0.0000, 0.0000, 0.0000)
Pr (0.0000, 0.0000, 0.5000)
Pr (0.3449, 0.6551, 0.7500)
Pr (0.4377, 0.5623, 0.2500)
Pr (0.5623, 0.4377, 0.7500)
Pr (0.6551, 0.3449, 0.2500)
Ho (0.2088, 0.4288, 0.9936)
Ho (0.4288, 0.2088, 0.4936)
Ho (0.5712, 0.7912, 0.5064)
Ho (0.7912, 0.5712, 0.0064)

Principal peaks in the range 2θ = 10–90°, low angle first:
2θ 28.3, 3.159 Å, I = 35.4
2θ 30.7, 2.912 Å, I = 27.7
2θ 31.4, 2.848 Å, I = 46.9
2θ 31.6, 2.835 Å, I = 100.0
2θ 33.4, 2.682 Å, I = 43.3
2θ 33.5, 2.671 Å, I = 34.9

2.
Diffraction record for Tb5PrHo3. The powder XRD pattern is simulated, not measured: it uses DFT lattice parameters and positions (PBE) and Cu Kα X-rays.
Lines closer than 0.1° are merged.

Structure:
a b c (Å): 8.8002 8.8002 11.3993
angles (deg): 107.11 107.11 44.80
Sites, in units of the cell vectors:
Tb (0.1047, 0.1125, 0.0460)
Tb (0.1125, 0.1047, 0.5460)
Tb (0.1814, 0.8186, 0.7500)
Tb (0.2079, 0.4410, 0.6285)
Tb (0.4410, 0.2079, 0.1285)
Tb (0.5590, 0.7921, 0.8715)
Tb (0.7921, 0.5590, 0.3715)
Tb (0.8186, 0.1814, 0.2500)
Tb (0.8875, 0.8953, 0.4540)
Tb (0.8953, 0.8875, 0.9540)
Pr (0.2712, 0.7288, 0.2500)
Pr (0.7288, 0.2712, 0.7500)
Ho (0.1205, 0.3572, 0.8578)
Ho (0.3572, 0.1205, 0.3578)
Ho (0.5000, 0.5000, 0.0000)
Ho (0.5000, 0.5000, 0.5000)
Ho (0.6428, 0.8795, 0.6422)
Ho (0.8795, 0.6428, 0.1422)

Principal peaks in the range 2θ = 10–90°, low angle first:
2θ 30.6, 2.921 Å, I = 24.9
2θ 31.2, 2.864 Å, I = 28.1
2θ 31.4, 2.848 Å, I = 100.0
2θ 31.6, 2.832 Å, I = 17.1
2θ 31.9, 2.803 Å, I = 11.8
2θ 32.5, 2.752 Å, I = 17.7